The following is a theoretical powder X-ray diffraction pattern of ReF5. It was derived from a structure optimized by DFT (GGA-PBE), using CuKα.

Structural model:
```
data_ReF5
_cell_length_a 4.527
_cell_length_b 5.049
_cell_length_c 7.075
_cell_angle_alpha 105.83
_cell_angle_beta 90.25
_cell_angle_gamma 115.25
_space_group_name_H-M_alt 'P -1'
_space_group_IT_number 2
_space_group_name_Hall '-P 1'
loop_
_atom_site_label
_atom_site_type_symbol
_atom_site_fract_x
_atom_site_fract_y
_atom_site_fract_z
Re1 Re 0.113 0.224 0.226
F1 F 0.070 0.808 0.049
F2 F 0.129 0.606 0.352
F3 F 0.280 0.208 0.460
F4 F 0.327 0.001 0.747
F5 F 0.475 0.607 0.857
```

Peak list (12 most intense, 2θ = 5–70°, by angle)
2θ/deg, I/Imax, hkl
20.67, 100, 0 1 -1
21.92, 50, 1 0 0
22.36, 50, 1 -1 0
23.99, 40, 1 0 -1
24.33, 39, 1 -1 1
26.45, 48, 0 0 2
27.58, 57, 0 1 1
39.14, 18, 0 1 -3
41.51, 16, 0 2 0
42.86, 29, -1 2 1
43.36, 28, 1 -1 3
44.87, 27, 2 0 -1

The following is a theoretical powder X-ray diffraction pattern of Sm2SbSe2F. It was derived from a structure optimized by DFT (GGA-PBE), using CuKα.

Structural model:
```
data_Sm2SbSe2F
_cell_length_a 4.008
_cell_length_b 4.008
_cell_length_c 8.808
_cell_angle_alpha 90.00
_cell_angle_beta 90.00
_cell_angle_gamma 90.00
_space_group_name_H-M_alt 'P -4 m 2'
_space_group_IT_number 115
_space_group_name_Hall 'P -4 -2'
loop_
_atom_site_label
_atom_site_type_symbol
_atom_site_fract_x
_atom_site_fract_y
_atom_site_fract_z
Sm1 Sm 0.000 0.500 0.216
Sb1 Sb 0.500 0.500 0.500
Se1 Se 0.000 0.500 0.871
F1 F 0.000 0.000 0.500
```

Peak list (12 most intense, 2θ = 5–70°, by angle)
2θ/deg, I/Imax, hkl
24.40, 72, 1 0 1
30.45, 48, 0 0 3
31.57, 46, 1 1 0
33.21, 79, 1 1 1
37.75, 100, 1 1 2
37.99, 72, 1 0 3
45.25, 60, 2 0 0
52.07, 19, 2 1 1
55.52, 34, 2 0 3
60.52, 37, 2 1 3
65.92, 19, 2 2 0
68.01, 21, 1 0 6